Structure and theoretical XRD peak list of Ba5Co5O14 (a PBE+U-relaxed structure; λ = 1.5418 Å (Cu Kα)).

```
data_Ba5Co5O14
_space_group_name_H-M_alt 'P -3 m 1'
_space_group_IT_number 164
_space_group_name_Hall '-P 3 2"'
_cell_length_a 5.7298
_cell_length_b 5.7298
_cell_length_c 11.9575
_cell_angle_alpha 90.00
_cell_angle_beta 90.00
_cell_angle_gamma 120.00
loop_
_atom_site_label
_atom_site_type_symbol
_atom_site_fract_x
_atom_site_fract_y
_atom_site_fract_z
Ba1 Ba 0.0000 0.0000 0.0000
Ba2 Ba 0.3333 0.6667 0.4188
Ba3 Ba 0.3333 0.6667 0.7728
Co1 Co 0.0000 0.0000 0.2935
Co2 Co 0.0000 0.0000 0.5000
Co3 Co 0.3333 0.6667 0.1409
O1 O 0.1470 0.2941 0.6016
O2 O 0.1624 0.3247 0.1971
O3 O 0.3333 0.6667 0.9952
```

Most intense lines, 10° ≤ 2θ ≤ 90°, by angle:
- 2θ = 28.73°, I = 74
- 2θ = 31.22°, I = 100
- 2θ = 42.94°, I = 41
- 2θ = 54.04°, I = 23
- 2θ = 55.56°, I = 19
- 2θ = 65.14°, I = 22